# 1
For Sm2TmPuP4, a cell relaxed with GGA-PBE gives the calculated powder diffractogram in this record (Cu Ka).
Peak positions follow from Bragg's law for the DFT cell and can differ from measured ones.

Structural model:
```
data_Sm2TmPuP4
_chemical_formula_sum 'Sm2 Tm1 Pu1 P4'
_space_group_name_H-M_alt 'P 1'
_space_group_IT_number 1
_space_group_name_Hall 'P 1'
_cell_length_a 6.975
_cell_length_b 4.045
_cell_length_c 6.989
_cell_angle_alpha 90.00
_cell_angle_beta 109.48
_cell_angle_gamma 90.00
loop_
_atom_site_label
_atom_site_type_symbol
_atom_site_fract_x
_atom_site_fract_y
_atom_site_fract_z
_atom_site_occupancy
Sm1 Sm 0.000 0.000 0.000 1
Sm2 Sm 0.500 0.500 0.000 1
Tm1 Tm 0.000 0.500 0.500 1
Pu1 Pu 0.500 0.000 0.500 1
P1 P 0.247 0.000 0.739 1
P2 P 0.255 0.500 0.261 1
P3 P 0.745 0.500 0.739 1
P4 P 0.753 0.000 0.261 1
```

Principal peaks in the range 5 to 70 degrees two-theta, low angle first:
| 2θ/deg | I/Imax |
| --- | --- |
| 13.45 | 6 |
| 27.06 | 93 |
| 31.35 | 100 |
| 44.87 | 37 |
| 44.97 | 37 |
| 53.18 | 23 |
| 53.28 | 23 |
| 55.76 | 19 |
| 55.93 | 6 |
| 65.38 | 8 |

=====

# 2
For SmPu3U4P8, a cell relaxed with GGA-PBE gives the calculated powder diffractogram in this record (Cu Ka).
Peak positions follow from Bragg's law for the DFT cell and can differ from measured ones.

Structural model:
```
data_SmPu3U4P8
_chemical_formula_sum 'Sm1 Pu3 U4 P8'
_space_group_name_H-M_alt 'P 1'
_space_group_IT_number 1
_space_group_name_Hall 'P 1'
_cell_length_a 7.993
_cell_length_b 7.993
_cell_length_c 7.993
_cell_angle_alpha 59.20
_cell_angle_beta 59.20
_cell_angle_gamma 59.20
loop_
_atom_site_label
_atom_site_type_symbol
_atom_site_fract_x
_atom_site_fract_y
_atom_site_fract_z
_atom_site_occupancy
Sm1 Sm 0.000 0.000 0.000 1
Pu1 Pu 0.000 0.500 0.500 1
Pu2 Pu 0.500 0.000 0.500 1
Pu3 Pu 0.500 0.500 0.000 1
U1 U 0.000 0.000 0.500 1
U2 U 0.000 0.500 0.000 1
U3 U 0.500 0.000 0.000 1
U4 U 0.500 0.500 0.500 1
P1 P 0.249 0.249 0.249 1
P2 P 0.250 0.746 0.746 1
P3 P 0.254 0.254 0.750 1
P4 P 0.254 0.750 0.254 1
P5 P 0.746 0.250 0.746 1
P6 P 0.746 0.746 0.250 1
P7 P 0.750 0.254 0.254 1
P8 P 0.751 0.751 0.751 1
```

Principal peaks in the range 5 to 70 degrees two-theta, low angle first:
| 2θ/deg | I/Imax |
| --- | --- |
| 27.17 | 28 |
| 27.62 | 80 |
| 31.86 | 100 |
| 45.39 | 38 |
| 45.97 | 37 |
| 53.71 | 14 |
| 54.22 | 27 |
| 54.48 | 13 |
| 57.02 | 19 |
| 66.60 | 12 |

=====

# 3
For Pu2SnP, a cell relaxed with GGA-PBE gives the calculated powder diffractogram in this record (Cu Ka).
Peak positions follow from Bragg's law for the DFT cell and can differ from measured ones.

Structural model:
```
data_Pu2SnP
_chemical_formula_sum 'Pu2 Sn1 P1'
_space_group_name_H-M_alt 'P 1'
_space_group_IT_number 1
_space_group_name_Hall 'P 1'
_cell_length_a 3.398
_cell_length_b 3.398
_cell_length_c 8.024
_cell_angle_alpha 90.00
_cell_angle_beta 90.00
_cell_angle_gamma 90.00
loop_
_atom_site_label
_atom_site_type_symbol
_atom_site_fract_x
_atom_site_fract_y
_atom_site_fract_z
_atom_site_occupancy
Pu1 Pu 0.000 0.000 0.203 1
Pu2 Pu 0.000 0.000 0.797 1
Sn1 Sn 0.500 0.500 0.500 1
P1 P 0.500 0.500 0.000 1
```

Principal peaks in the range 5 to 70 degrees two-theta, low angle first:
| 2θ/deg | I/Imax |
| --- | --- |
| 26.23 | 34 |
| 28.53 | 29 |
| 33.50 | 19 |
| 34.59 | 100 |
| 37.43 | 53 |
| 43.04 | 14 |
| 51.10 | 24 |
| 53.97 | 19 |
| 64.18 | 19 |
| 65.70 | 32 |